# 1
The following is a calculated powder X-ray diffraction pattern of UGaRh5. It was derived from a PBE-relaxed structure, using copper Kα.
Kinematic intensities with the Lorentz-polarization factor, no thermal factor.

Most intense lines, 2θ from 5° to 70°, in order of rising 2θ:
| 2theta | Rel. int. | h k l |
| --- | --- | --- |
| 17.1 | 54 | 2 0 0 |
| 29.0 | 50 | 3 1 0 |
| 31.5 | 64 | 2 2 -1 |
| 31.9 | 70 | 3 1 -2 |
| 39.4 | 100 | 2 0 2 |
| 41.3 | 42 | 4 2 -1 |
| 41.7 | 73 | 3 1 -3 |
| 42.3 | 35 | 1 3 -1 |
| 44.9 | 82 | 1 3 1 |
| 57.5 | 41 | 5 3 -1 |

Structural model:
```
data_UGaRh5
_cell_length_a 11.499
_cell_length_b 6.751
_cell_length_c 6.986
_cell_angle_alpha 90.00
_cell_angle_beta 115.72
_cell_angle_gamma 90.00
_symmetry_space_group_name_H-M 'C 1 2/c 1'
_symmetry_Int_Tables_number 15
_symmetry_space_group_name_Hall '-C 2yc'
loop_
_atom_site_label
_atom_site_fract_x
_atom_site_fract_y
_atom_site_fract_z
U1 0.000 0.085 0.250
Ga1 0.250 0.250 0.000
Rh1 0.000 0.271 0.750
Rh2 0.103 0.396 0.165
Rh3 0.165 0.226 0.576
```



# 2
The following is a calculated powder X-ray diffraction pattern of V7Ga3Rh. It was derived from a PBE-relaxed structure, using copper Kα.
Kinematic intensities with the Lorentz-polarization factor, no thermal factor.

Most intense lines, 2θ from 5° to 70°, in order of rising 2θ:
| 2theta | Rel. int. | h k l |
| --- | --- | --- |
| 8.9 | 28 | 0 2 0 |
| 16.8 | 25 | 0 2 2 |
| 37.6 | 20 | 1 1 2 |
| 39.7 | 21 | 0 6 4 |
| 41.0 | 69 | 1 1 3 |
| 42.4 | 100 | 0 8 3 |
| 43.6 | 48 | 0 0 6 |
| 45.5 | 23 | 1 1 4 |
| 47.2 | 28 | 1 7 0 |
| 66.2 | 20 | 1 7 6 |

Structural model:
```
data_V7Ga3Rh
_cell_length_a 2.615
_cell_length_b 19.905
_cell_length_c 12.451
_cell_angle_alpha 90.00
_cell_angle_beta 90.00
_cell_angle_gamma 90.00
_symmetry_space_group_name_H-M 'C m c m'
_symmetry_Int_Tables_number 63
_symmetry_space_group_name_Hall '-C 2c 2'
loop_
_atom_site_label
_atom_site_fract_x
_atom_site_fract_y
_atom_site_fract_z
V1 0.000 0.035 0.086
V2 0.000 0.093 0.596
V3 0.000 0.110 0.250
V4 0.000 0.219 0.587
Ga1 0.000 0.340 0.250
Ga2 0.000 0.348 0.571
Rh1 0.000 0.479 0.250
```



# 3
The following is a calculated powder X-ray diffraction pattern of V2GaRh. It was derived from a PBE-relaxed structure, using copper Kα.
Kinematic intensities with the Lorentz-polarization factor, no thermal factor.

Most intense lines, 2θ from 5° to 70°, in order of rising 2θ:
| 2theta | Rel. int. | h k l |
| --- | --- | --- |
| 18.1 | 11 | 0 0 1 |
| 27.2 | 15 | 1 0 1 |
| 36.6 | 7 | 0 0 2 |
| 39.9 | 37 | 0 2 1 |
| 41.0 | 50 | 2 0 0 |
| 42.1 | 83 | 1 0 2 |
| 45.1 | 100 | 1 2 1 |
| 56.1 | 12 | 2 0 2 |
| 58.5 | 23 | 2 2 1 |
| 68.1 | 19 | 0 2 3 |

Structural model:
```
data_V2GaRh
_cell_length_a 4.404
_cell_length_b 5.087
_cell_length_c 4.914
_cell_angle_alpha 90.00
_cell_angle_beta 90.00
_cell_angle_gamma 90.00
_symmetry_space_group_name_H-M 'P m m n'
_symmetry_Int_Tables_number 59
loop_
_symmetry_equiv_pos_as_xyz
'x,y,z'
'-x,-y,-z'
'-x+1/2,-y+1/2,z'
'x+1/2,y+1/2,-z'
'x+1/2,-y,-z'
'-x+1/2,y,z'
'-x,y+1/2,-z'
'x,-y+1/2,z'
loop_
_atom_site_label
_atom_site_fract_x
_atom_site_fract_y
_atom_site_fract_z
V1 0.250 0.010 0.151
Ga1 0.250 0.250 0.656
Rh1 0.250 0.750 0.645
```



# 4
The following is a calculated powder X-ray diffraction pattern of V4Ga3Rh. It was derived from a PBE-relaxed structure, using copper Kα.
Kinematic intensities with the Lorentz-polarization factor, no thermal factor.

Most intense lines, 2θ from 5° to 70°, in order of rising 2θ:
| 2theta | Rel. int. | h k l |
| --- | --- | --- |
| 14.4 | 3 | 0 0 2 |
| 21.8 | 3 | 0 1 1 |
| 30.4 | 2 | 1 0 3 |
| 33.1 | 6 | 1 1 2 |
| 41.9 | 100 | 0 2 0 |
| 42.9 | 19 | 2 0 0 |
| 44.1 | 1 | 0 0 6 |
| 52.6 | 1 | 1 2 3 |
| 60.1 | 6 | 0 0 8 |
| 61.5 | 12 | 2 2 0 |

Structural model:
```
data_V4Ga3Rh
_cell_length_a 4.214
_cell_length_b 4.314
_cell_length_c 12.312
_cell_angle_alpha 90.00
_cell_angle_beta 90.00
_cell_angle_gamma 90.00
_symmetry_space_group_name_H-M 'I m m m'
_symmetry_Int_Tables_number 71
_symmetry_space_group_name_Hall '-I 2 2'
loop_
_atom_site_label
_atom_site_fract_x
_atom_site_fract_y
_atom_site_fract_z
V1 0.000 0.000 0.130
V2 0.000 0.500 0.251
Ga1 0.000 0.000 0.367
Ga2 0.000 0.500 0.500
Rh1 0.000 0.500 0.000
```



# 5
The following is a calculated powder X-ray diffraction pattern of Y3Ga2Rh6. It was derived from a PBE-relaxed structure, using copper Kα.
Kinematic intensities with the Lorentz-polarization factor, no thermal factor.

Most intense lines, 2θ from 5° to 70°, in order of rising 2θ:
| 2theta | Rel. int. | h k l |
| --- | --- | --- |
| 13.4 | 32 | 1 1 0 |
| 30.3 | 7 | 3 1 0 |
| 33.2 | 12 | 2 2 2 |
| 36.0 | 26 | 3 2 1 |
| 38.6 | 6 | 4 0 0 |
| 41.0 | 100 | 3 3 0 |
| 43.3 | 14 | 4 2 0 |
| 59.4 | 9 | 6 0 0 |
| 61.2 | 10 | 5 3 2 |
| 66.4 | 11 | 6 2 2 |

Structural model:
```
data_Y3Ga2Rh6
_cell_length_a 9.341
_cell_length_b 9.341
_cell_length_c 9.341
_cell_angle_alpha 90.00
_cell_angle_beta 90.00
_cell_angle_gamma 90.00
_symmetry_space_group_name_H-M 'I m -3 m'
_symmetry_Int_Tables_number 229
_symmetry_space_group_name_Hall '-I 4 2 3'
loop_
_atom_site_label
_atom_site_fract_x
_atom_site_fract_y
_atom_site_fract_z
Y1 0.000 0.000 0.291
Ga1 0.250 0.250 0.250
Rh1 0.000 0.343 0.343
```



# 6
The following is a calculated powder X-ray diffraction pattern of Y2Ga9Rh3. It was derived from a PBE-relaxed structure, using copper Kα.
Kinematic intensities with the Lorentz-polarization factor, no thermal factor.

Most intense lines, 2θ from 5° to 70°, in order of rising 2θ:
| 2theta | Rel. int. | h k l |
| --- | --- | --- |
| 30.1 | 23 | 0 2 2 |
| 36.8 | 55 | 3 1 -4 |
| 36.9 | 100 | 0 2 3 |
| 37.7 | 25 | 0 0 4 |
| 41.2 | 46 | 6 0 -2 |
| 41.3 | 91 | 3 3 -1 |
| 44.9 | 40 | 3 1 -5 |
| 45.6 | 15 | 6 0 0 |
| 45.7 | 30 | 3 3 1 |
| 63.4 | 15 | 3 1 5 |

Structural model:
```
data_Y2Ga9Rh3
_cell_length_a 13.138
_cell_length_b 7.557
_cell_length_c 10.512
_cell_angle_alpha 90.00
_cell_angle_beta 114.74
_cell_angle_gamma 90.00
_symmetry_space_group_name_H-M 'C 1 2/c 1'
_symmetry_Int_Tables_number 15
_symmetry_space_group_name_Hall '-C 2yc'
loop_
_atom_site_label
_atom_site_fract_x
_atom_site_fract_y
_atom_site_fract_z
Y1 0.169 0.083 0.251
Ga1 0.000 0.371 0.250
Ga2 0.057 0.083 0.921
Ga3 0.104 0.314 0.748
Ga4 0.105 0.415 0.065
Ga5 0.223 0.416 0.422
Rh1 0.085 0.243 0.501
Rh2 0.250 0.250 0.000
```



# 7
The following is a calculated powder X-ray diffraction pattern of YGa8Rh2. It was derived from a PBE-relaxed structure, using copper Kα.
Kinematic intensities with the Lorentz-polarization factor, no thermal factor.

Most intense lines, 2θ from 5° to 70°, in order of rising 2θ:
| 2theta | Rel. int. | h k l |
| --- | --- | --- |
| 26.1 | 61 | 1 1 1 |
| 31.8 | 19 | 2 1 0 |
| 36.6 | 16 | 1 0 2 |
| 40.5 | 55 | 2 2 0 |
| 43.1 | 22 | 3 0 0 |
| 44.5 | 100 | 2 0 2 |
| 48.8 | 21 | 3 1 1 |
| 55.7 | 15 | 3 0 2 |
| 58.6 | 12 | 4 0 0 |
| 63.7 | 21 | 3 2 2 |

Structural model:
```
data_YGa8Rh2
_cell_length_a 6.297
_cell_length_b 6.297
_cell_length_c 5.333
_cell_angle_alpha 90.00
_cell_angle_beta 90.00
_cell_angle_gamma 90.00
_symmetry_space_group_name_H-M 'P 4/m m m'
_symmetry_Int_Tables_number 123
_symmetry_space_group_name_Hall '-P 4 2'
loop_
_atom_site_label
_atom_site_fract_x
_atom_site_fract_y
_atom_site_fract_z
Y1 0.000 0.000 0.000
Ga1 0.292 0.292 0.249
Rh1 0.000 0.500 0.500
```



# 8
The following is a calculated powder X-ray diffraction pattern of YGa9Rh2. It was derived from a PBE-relaxed structure, using copper Kα.
Kinematic intensities with the Lorentz-polarization factor, no thermal factor.

Most intense lines, 2θ from 5° to 70°, in order of rising 2θ:
| 2theta | Rel. int. | h k l |
| --- | --- | --- |
| 34.0 | 30 | 4 2 0 |
| 36.1 | 100 | 5 1 -2 |
| 37.6 | 47 | 2 4 0 |
| 38.5 | 52 | 1 3 -2 |
| 39.2 | 36 | 4 0 1 |
| 41.8 | 27 | 2 0 -3 |
| 43.1 | 32 | 6 2 -1 |
| 43.5 | 54 | 4 4 -1 |
| 44.0 | 37 | 2 2 2 |
| 45.8 | 29 | 1 5 -1 |

Structural model:
```
data_YGa9Rh2
_cell_length_a 13.900
_cell_length_b 10.379
_cell_length_c 6.582
_cell_angle_alpha 90.00
_cell_angle_beta 118.17
_cell_angle_gamma 90.00
_symmetry_space_group_name_H-M 'C 1 m 1'
_symmetry_Int_Tables_number 8
_symmetry_space_group_name_Hall 'C -2y'
loop_
_atom_site_label
_atom_site_fract_x
_atom_site_fract_y
_atom_site_fract_z
Y1 0.000 0.000 0.000
Y2 0.001 0.500 0.296
Ga1 0.000 0.000 0.495
Ga2 0.001 0.500 0.752
Ga3 0.109 0.219 0.399
Ga4 0.139 0.342 0.089
Ga5 0.173 0.126 0.871
Ga6 0.203 0.379 0.749
Ga7 0.297 0.121 0.343
Ga8 0.325 0.374 0.524
Ga9 0.361 0.156 0.812
Ga10 0.391 0.281 0.180
Rh1 0.198 0.000 0.541
Rh2 0.301 0.500 0.144
Rh3 0.499 0.236 0.653
```